Structure and simulated powder diffraction line list of PaTl3Fe2O9 (a structure optimized by DFT (PBE+U); Cu Kα (λ = 1.5418 Å)).

Structure:
```
data_PaTl3Fe2O9
_chemical_formula_sum 'Pa1 Tl3 Fe2 O9'
_space_group_name_H-M_alt 'P 1'
_space_group_IT_number 1
_cell_length_a 5.7575
_cell_length_b 5.7575
_cell_length_c 7.2797
_cell_angle_alpha 90.00
_cell_angle_beta 90.00
_cell_angle_gamma 120.00
loop_
_space_group_symop_operation_xyz
'x,y,z'
loop_
_atom_site_label
_atom_site_fract_x
_atom_site_fract_y
_atom_site_fract_z
Pa1 0.0000 0.0000 0.0000
Tl1 0.0000 0.0000 0.5000
Tl2 0.3333 0.6667 0.2365
Tl3 0.6667 0.3333 0.7635
Fe1 0.3333 0.6667 0.6676
Fe2 0.6667 0.3333 0.3324
O1 0.0000 0.5000 0.5000
O2 0.1707 0.3415 0.8193
O3 0.1707 0.8293 0.8193
O4 0.3415 0.1707 0.1807
O5 0.5000 0.0000 0.5000
O6 0.5000 0.5000 0.5000
O7 0.6585 0.8293 0.8193
O8 0.8293 0.1707 0.1807
O9 0.8293 0.6585 0.1807
```

Top 12 peaks for 15 to 90 degrees two-theta, sorted by position:
Position (°2θ), I (rel.)
21.60, 30
30.40, 100
31.07, 93
38.16, 15
44.02, 52
54.86, 39
55.27, 19
60.15, 20
64.77, 16
73.22, 17
81.66, 13
89.90, 15